# 1
# AlSi2O6
Theoretical powder diffractogram, a wavelength of 1.5418 Å. Input: a DFT-relaxed cell (GGA-PBE, Alexandria).

Crystal structure
Unit cell a=5.250 b=5.250 c=5.867 alpha=90.00 beta=90.00 gamma=121.80
Sites, in units of the cell vectors:
Al: 0.000 0.000 0.000
Si: 0.000 0.500 0.663
Si: 0.500 0.000 0.337
O: 0.079 0.300 0.822
O: 0.287 0.713 0.500
O: 0.300 0.079 0.178
O: 0.700 0.921 0.178
O: 0.713 0.287 0.500
O: 0.921 0.700 0.822

Most intense lines, 2θ = 10–90°, in order of rising 2θ:
- 2θ = 19.35°, I = 13
- 2θ = 19.90°, I = 15
- 2θ = 24.63°, I = 49
- 2θ = 25.07°, I = 100
- 2θ = 43.39°, I = 4
- 2θ = 46.43°, I = 20
- 2θ = 47.19°, I = 11
- 2θ = 62.40°, I = 10
- 2θ = 63.23°, I = 9
- 2θ = 74.05°, I = 4

# 2
# Ac5Tl6Cd
Theoretical powder diffractogram, a wavelength of 1.5418 Å. Input: a DFT-relaxed cell (GGA-PBE, Alexandria).

Crystal structure
Unit cell a=5.654 b=8.238 c=10.170 alpha=66.11 beta=73.93 gamma=89.96
Sites, in units of the cell vectors:
Ac: 0.000 0.000 0.000
Ac: 0.321 0.821 0.359
Ac: 0.361 0.360 0.280
Ac: 0.639 0.640 0.720
Ac: 0.679 0.179 0.641
Tl: 0.162 0.918 0.672
Tl: 0.165 0.410 0.671
Tl: 0.499 0.228 0.000
Tl: 0.501 0.772 0.000
Tl: 0.835 0.590 0.329
Tl: 0.838 0.082 0.328
Cd: 0.000 0.500 0.000

Most intense lines, 2θ = 10–90°, in order of rising 2θ:
- 2θ = 30.25°, I = 22
- 2θ = 30.83°, I = 100
- 2θ = 31.65°, I = 25
- 2θ = 43.97°, I = 10
- 2θ = 44.35°, I = 16
- 2θ = 54.10°, I = 14
- 2θ = 54.30°, I = 8
- 2θ = 55.18°, I = 10
- 2θ = 55.85°, I = 19
- 2θ = 64.22°, I = 11

# 3
# Sm4Pu3Se8
Theoretical powder diffractogram, a wavelength of 1.5418 Å. Input: a DFT-relaxed cell (GGA-PBE, Alexandria).

Crystal structure
Unit cell a=8.303 b=8.303 c=8.299 alpha=119.96 beta=119.96 gamma=90.06
Sites, in units of the cell vectors:
Sm: 0.000 0.000 0.000
Sm: 0.000 0.500 0.000
Sm: 0.500 0.000 0.000
Sm: 0.500 0.500 0.500
Pu: 0.000 0.000 0.500
Pu: 0.000 0.500 0.500
Pu: 0.500 0.000 0.500
Se: 0.249 0.751 0.500
Se: 0.252 0.252 0.503
Se: 0.252 0.252 0.999
Se: 0.252 0.748 0.000
Se: 0.748 0.252 0.000
Se: 0.748 0.748 0.001
Se: 0.748 0.748 0.497
Se: 0.751 0.249 0.500

Most intense lines, 2θ = 10–90°, in order of rising 2θ:
- 2θ = 15.09°, I = 10
- 2θ = 21.40°, I = 9
- 2θ = 26.29°, I = 22
- 2θ = 30.45°, I = 100
- 2θ = 43.60°, I = 75
- 2θ = 51.63°, I = 11
- 2θ = 54.11°, I = 27
- 2θ = 63.36°, I = 12
- 2θ = 71.91°, I = 34
- 2θ = 80.07°, I = 26

# 4
# NbPbAu3
Theoretical powder diffractogram, a wavelength of 1.5418 Å. Input: a DFT-relaxed cell (GGA-PBE, Alexandria).

Crystal structure
Unit cell a=5.224 b=5.224 c=5.224 alpha=90.00 beta=90.00 gamma=90.00
Sites, in units of the cell vectors:
Nb: 0.000 0.000 0.000
Pb: 0.500 0.500 0.500
Au: 0.000 0.500 0.500
Au: 0.500 0.000 0.500
Au: 0.500 0.500 0.000

Most intense lines, 2θ = 10–90°, in order of rising 2θ:
- 2θ = 16.97°, I = 62
- 2θ = 29.62°, I = 58
- 2θ = 34.33°, I = 100
- 2θ = 38.53°, I = 35
- 2θ = 49.34°, I = 73
- 2θ = 52.55°, I = 18
- 2θ = 58.61°, I = 25
- 2θ = 61.49°, I = 25
- 2θ = 72.35°, I = 12
- 2θ = 82.59°, I = 34

# 5
# DyH9C5N2O8
Theoretical powder diffractogram, a wavelength of 1.5418 Å. Input: a DFT-relaxed cell (GGA-PBE, Alexandria).

Crystal structure
Unit cell a=6.755 b=6.755 c=6.608 alpha=106.58 beta=106.58 gamma=65.26
Sites, in units of the cell vectors:
Dy: 0.000 0.000 0.000
H: 0.167 0.466 0.118
H: 0.268 0.489 0.535
H: 0.363 0.205 0.404
H: 0.511 0.732 0.465
H: 0.534 0.833 0.882
H: 0.539 0.441 0.826
H: 0.559 0.461 0.174
H: 0.795 0.637 0.596
H: 0.921 0.079 0.500
C: 0.054 0.470 0.959
C: 0.072 0.928 0.500
C: 0.530 0.946 0.041
C: 0.536 0.290 0.706
C: 0.710 0.464 0.294
N: 0.376 0.329 0.536
N: 0.671 0.624 0.464
O: 0.003 0.639 0.876
O: 0.147 0.841 0.667
O: 0.159 0.853 0.333
O: 0.361 0.997 0.124
O: 0.677 0.102 0.735
O: 0.687 0.015 0.127
O: 0.898 0.323 0.265
O: 0.985 0.313 0.873

Most intense lines, 2θ = 10–90°, in order of rising 2θ:
- 2θ = 14.25°, I = 44
- 2θ = 14.71°, I = 100
- 2θ = 16.56°, I = 31
- 2θ = 17.83°, I = 22
- 2θ = 18.45°, I = 50
- 2θ = 22.43°, I = 40
- 2θ = 27.84°, I = 28
- 2θ = 29.69°, I = 43
- 2θ = 33.50°, I = 21
- 2θ = 35.52°, I = 20

# 6
# Zr2PtBr
Theoretical powder diffractogram, a wavelength of 1.5418 Å. Input: a DFT-relaxed cell (GGA-PBE, Alexandria).

Crystal structure
Unit cell a=3.480 b=3.480 c=7.218 alpha=90.00 beta=90.00 gamma=90.00
Sites, in units of the cell vectors:
Zr: 0.000 0.000 0.000
Zr: 0.500 0.500 0.293
Pt: 0.500 0.500 0.839
Br: 0.000 0.000 0.500

Most intense lines, 2θ = 10–90°, in order of rising 2θ:
- 2θ = 12.26°, I = 24
- 2θ = 24.67°, I = 20
- 2θ = 28.48°, I = 10
- 2θ = 35.85°, I = 100
- 2θ = 36.52°, I = 62
- 2θ = 44.57°, I = 16
- 2θ = 52.60°, I = 21
- 2θ = 57.53°, I = 18
- 2θ = 65.30°, I = 34
- 2θ = 81.71°, I = 13

# 7
# ThNiH6Pd
Theoretical powder diffractogram, a wavelength of 1.5418 Å. Input: a DFT-relaxed cell (GGA-PBE, Alexandria).

Crystal structure
Unit cell a=4.595 b=4.595 c=4.279 alpha=90.00 beta=90.00 gamma=120.00
Sites, in units of the cell vectors:
Th: 0.000 0.000 0.000
Ni: 0.667 0.333 0.500
H: 0.513 0.026 0.237
H: 0.513 0.026 0.763
H: 0.513 0.487 0.237
H: 0.513 0.487 0.763
H: 0.974 0.487 0.237
H: 0.974 0.487 0.763
Pd: 0.333 0.667 0.500

Most intense lines, 2θ = 10–90°, in order of rising 2θ:
- 2θ = 22.34°, I = 20
- 2θ = 30.68°, I = 100
- 2θ = 39.21°, I = 41
- 2θ = 42.24°, I = 11
- 2θ = 50.59°, I = 25
- 2θ = 58.99°, I = 26
- 2θ = 65.82°, I = 23
- 2θ = 70.08°, I = 10
- 2θ = 71.07°, I = 7
- 2θ = 86.29°, I = 9

# 8
# MgNi3Ge3
Theoretical powder diffractogram, a wavelength of 1.5418 Å. Input: a DFT-relaxed cell (GGA-PBE, Alexandria).

Crystal structure
Unit cell a=7.795 b=7.795 c=4.100 alpha=90.00 beta=90.00 gamma=120.00
Sites, in units of the cell vectors:
Mg: 0.333 0.667 0.250
Mg: 0.667 0.333 0.750
Ni: 0.070 0.846 0.250
Ni: 0.154 0.224 0.250
Ni: 0.224 0.070 0.750
Ni: 0.776 0.930 0.250
Ni: 0.846 0.776 0.750
Ni: 0.930 0.154 0.750
Ge: 0.109 0.705 0.750
Ge: 0.295 0.404 0.750
Ge: 0.404 0.109 0.250
Ge: 0.596 0.891 0.750
Ge: 0.705 0.596 0.250
Ge: 0.891 0.295 0.250

Most intense lines, 2θ = 10–90°, in order of rising 2θ:
- 2θ = 13.11°, I = 61
- 2θ = 26.40°, I = 15
- 2θ = 31.67°, I = 22
- 2θ = 35.17°, I = 54
- 2θ = 41.69°, I = 100
- 2θ = 44.18°, I = 40
- 2θ = 46.01°, I = 39
- 2θ = 53.83°, I = 40
- 2θ = 57.68°, I = 25
- 2θ = 64.29°, I = 14

# 9
# DyCu6Ge2
Theoretical powder diffractogram, a wavelength of 1.5418 Å. Input: a DFT-relaxed cell (GGA-PBE, Alexandria).

Crystal structure
Unit cell a=4.079 b=4.079 c=8.050 alpha=90.00 beta=90.00 gamma=90.00
Sites, in units of the cell vectors:
Dy: 0.000 0.000 0.000
Cu: 0.000 0.000 0.500
Cu: 0.000 0.500 0.316
Cu: 0.000 0.500 0.684
Cu: 0.500 0.000 0.316
Cu: 0.500 0.000 0.684
Cu: 0.500 0.500 0.500
Ge: 0.500 0.500 0.154
Ge: 0.500 0.500 0.846

Most intense lines, 2θ = 10–90°, in order of rising 2θ:
- 2θ = 31.22°, I = 43
- 2θ = 32.99°, I = 38
- 2θ = 38.40°, I = 100
- 2θ = 40.23°, I = 44
- 2θ = 44.42°, I = 92
- 2θ = 46.21°, I = 46
- 2θ = 61.47°, I = 25
- 2θ = 64.63°, I = 28
- 2θ = 77.75°, I = 23
- 2θ = 86.92°, I = 20

# 10
# Pr7ErTl4
Theoretical powder diffractogram, a wavelength of 1.5418 Å. Input: a DFT-relaxed cell (GGA-PBE, Alexandria).

Crystal structure
Unit cell a=8.091 b=8.091 c=10.575 alpha=120.31 beta=120.31 gamma=43.25
Sites, in units of the cell vectors:
Pr: 0.000 0.000 0.000
Pr: 0.230 0.230 0.670
Pr: 0.297 0.297 0.116
Pr: 0.438 0.438 0.607
Pr: 0.562 0.562 0.393
Pr: 0.703 0.703 0.884
Pr: 0.770 0.770 0.330
Er: 0.500 0.500 0.000
Tl: 0.055 0.055 0.741
Tl: 0.186 0.186 0.335
Tl: 0.814 0.814 0.665
Tl: 0.945 0.945 0.259

Most intense lines, 2θ = 10–90°, in order of rising 2θ:
- 2θ = 27.96°, I = 56
- 2θ = 28.86°, I = 43
- 2θ = 29.84°, I = 26
- 2θ = 29.97°, I = 100
- 2θ = 30.21°, I = 44
- 2θ = 31.79°, I = 43
- 2θ = 34.63°, I = 77
- 2θ = 35.18°, I = 27
- 2θ = 41.45°, I = 39
- 2θ = 43.07°, I = 33

# 11
# AcSmCu10
Theoretical powder diffractogram, a wavelength of 1.5418 Å. Input: a DFT-relaxed cell (GGA-PBE, Alexandria).

Crystal structure
Unit cell a=4.114 b=5.218 c=8.956 alpha=90.00 beta=90.00 gamma=90.00
Sites, in units of the cell vectors:
Ac: 0.000 0.000 0.000
Sm: 0.000 0.500 0.500
Cu: 0.000 0.000 0.341
Cu: 0.000 0.000 0.659
Cu: 0.000 0.500 0.175
Cu: 0.000 0.500 0.825
Cu: 0.500 0.000 0.500
Cu: 0.500 0.255 0.258
Cu: 0.500 0.255 0.742
Cu: 0.500 0.500 0.000
Cu: 0.500 0.745 0.258
Cu: 0.500 0.745 0.742

Most intense lines, 2θ = 10–90°, in order of rising 2θ:
- 2θ = 29.42°, I = 82
- 2θ = 34.62°, I = 33
- 2θ = 39.99°, I = 37
- 2θ = 40.28°, I = 18
- 2θ = 40.96°, I = 51
- 2θ = 41.17°, I = 100
- 2θ = 44.02°, I = 38
- 2θ = 60.97°, I = 21
- 2θ = 66.20°, I = 23
- 2θ = 89.37°, I = 18

# 12
# NaHg6Au6
Theoretical powder diffractogram, a wavelength of 1.5418 Å. Input: a DFT-relaxed cell (GGA-PBE, Alexandria).

Crystal structure
Unit cell a=7.583 b=7.583 c=7.583 alpha=135.42 beta=98.79 gamma=97.75
Sites, in units of the cell vectors:
Na: 0.000 0.000 0.000
Hg: 0.172 0.672 0.500
Hg: 0.337 0.337 0.000
Hg: 0.342 0.000 0.342
Hg: 0.658 0.000 0.658
Hg: 0.663 0.663 0.000
Hg: 0.828 0.328 0.500
Au: 0.000 0.000 0.500
Au: 0.000 0.500 0.000
Au: 0.239 0.500 0.739
Au: 0.500 0.000 0.000
Au: 0.500 0.500 0.500
Au: 0.761 0.500 0.261

Most intense lines, 2θ = 10–90°, in order of rising 2θ:
- 2θ = 17.80°, I = 21
- 2θ = 31.08°, I = 23
- 2θ = 36.04°, I = 34
- 2θ = 36.13°, I = 50
- 2θ = 36.41°, I = 22
- 2θ = 40.55°, I = 100
- 2θ = 40.81°, I = 35
- 2θ = 61.97°, I = 21
- 2θ = 64.79°, I = 24
- 2θ = 65.34°, I = 21